Pa2NiO8: calculated XRD peak list (CuKα), based on a GGA+U-relaxed structure.

Principal peaks in the range 2θ = 10–90°, low angle first:
index	2θ (°)	d/Å	intensity
0 2 0	15.79	5.613	790
0 0 1	21.12	4.206	1000
2 0 0	25.84	3.448	612
0 2 1	26.48	3.366	442
1 3 0	27.11	3.289	378
2 2 0	30.43	2.938	320
2 0 1	33.61	2.666	371
1 3 1	34.62	2.591	495
2 2 1	37.34	2.408	352
1 7 2	75.84	1.254	254

Structure:
Lattice parameters (Å, degrees): 6.8957 11.2251 4.2062 90.00 90.00 90.00
Space group Cmmm (No. 65)
Inequivalent atoms, fractional coordinates:
Pa  0.0000  0.2133  0.0000 [4 per cell]
Ni  0.0000  0.5000  0.0000 [2 per cell]
O  0.0000  0.0000  0.3512 [4 per cell]
O  0.0000  0.2322  0.5000 [4 per cell]
O  0.2008  0.3691  0.0000 [8 per cell]

=====

PrV2ZnO6: calculated XRD peak list (CuKα), based on a GGA+U-relaxed structure.

Principal peaks in the range 2θ = 10–90°, low angle first:
index	2θ (°)	d/Å	intensity
0 1 0	15.70	5.645	125
0 1 1	19.48	4.556	139
0 1 2	28.01	3.186	129
0 2 0	31.70	2.822	171
1 1 1	32.63	2.744	1000
2 0 -2	33.17	2.701	256
1 2 -1	35.90	2.501	187
2 2 -2	46.54	1.951	206
0 0 4	47.10	1.929	172
3 1 -5	58.92	1.567	239

Structure:
Lattice parameters (Å, degrees): 5.4015 5.6447 9.4166 90.00 124.96 90.00
Space group Pc (No. 7)
Inequivalent atoms, fractional coordinates:
Pr  0.0000  0.1955  0.0000 [2 per cell]
V  0.2327  0.2755  0.7476 [2 per cell]
V  0.7383  0.2710  0.2509 [2 per cell]
Zn  0.5067  0.1544  0.5019 [2 per cell]
O  0.0962  0.0470  0.3013 [2 per cell]
O  0.3845  0.4736  0.2070 [2 per cell]
O  0.4824  0.0472  0.6979 [2 per cell]
O  0.5641  0.2454  0.9976 [2 per cell]
O  0.8636  0.2251  0.5011 [2 per cell]
O  0.9769  0.4482  0.7928 [2 per cell]